Theoretical powder X-ray diffraction pattern of CrPbF4 for Cu Kα (weighted mean of Kα1 and Kα2), from a crystal structure in Alexandria, relaxed with PBE+U.
Lines closer than 0.1° are merged.

```
data_CrPbF4
_cell_length_a 4.0196
_cell_length_b 7.3508
_cell_length_c 6.5436
_cell_angle_alpha 90.00
_cell_angle_beta 90.00
_cell_angle_gamma 90.00
_symmetry_space_group_name_H-M 'P m m n'
_symmetry_Int_Tables_number 59
loop_
_symmetry_equiv_pos_as_xyz
'x,y,z'
'-x,-y,-z'
'-x+1/2,-y+1/2,z'
'x+1/2,y+1/2,-z'
'x+1/2,-y,-z'
'-x+1/2,y,z'
'-x,y+1/2,-z'
'x,-y+1/2,z'
loop_
_atom_site_label
_atom_site_type_symbol
_atom_site_fract_x
_atom_site_fract_y
_atom_site_fract_z
Cr1 Cr 0.2500 0.2500 0.0745
Pb1 Pb 0.2500 0.7500 0.4654
F1 F 0.2500 0.0697 0.3370
F2 F 0.2500 0.2500 0.7671
F3 F 0.2500 0.7500 0.9224
```

Principal peaks in the range 15° ≤ 2θ ≤ 90°, low angle first:
2θ (°), d/Å, I_rel, h k l
24.22, 3.675, 58, 0 2 0
25.25, 3.527, 23, 1 1 0
27.26, 3.272, 21, 0 0 2
28.76, 3.105, 100, 1 1 1
36.78, 2.444, 26, 0 2 2
37.50, 2.399, 37, 1 1 2
45.52, 1.993, 37, 1 3 1
51.86, 1.763, 26, 2 2 0

***

Theoretical powder X-ray diffraction pattern of Rb2CrPd3F12 for Cu Kα (weighted mean of Kα1 and Kα2), from a crystal structure in Alexandria, relaxed with PBE+U.
Lines closer than 0.1° are merged.

```
data_Rb2CrPd3F12
_cell_length_a 6.5421
_cell_length_b 6.5421
_cell_length_c 24.9787
_cell_angle_alpha 90.00
_cell_angle_beta 90.00
_cell_angle_gamma 120.00
_symmetry_space_group_name_H-M 'R -3 m'
_symmetry_Int_Tables_number 166
_symmetry_space_group_name_Hall '-R 3 2"'
loop_
_atom_site_label
_atom_site_type_symbol
_atom_site_fract_x
_atom_site_fract_y
_atom_site_fract_z
Rb1 Rb 0.0000 0.0000 0.1286
Cr1 Cr 0.0000 0.0000 0.5000
Pd1 Pd 0.0000 0.5000 0.0000
F1 F 0.0402 0.5201 0.3702
F2 F 0.0614 0.5307 0.1245
```

Principal peaks in the range 15° ≤ 2θ ≤ 90°, low angle first:
2θ (°), d/Å, I_rel, h k l
21.34, 4.163, 70, 0 0 6
23.75, 3.747, 83, 0 1 5
29.34, 3.045, 94, 1 1 3
31.79, 2.815, 62, 0 2 1
32.41, 2.763, 54, 2 0 2
40.67, 2.219, 32, 0 2 7
43.12, 2.098, 100, 2 0 8
56.25, 1.636, 39, 2 2 0

***

Theoretical powder X-ray diffraction pattern of PmCr2F8 for Cu Kα (weighted mean of Kα1 and Kα2), from a crystal structure in Alexandria, relaxed with PBE+U.
Lines closer than 0.1° are merged.

```
data_PmCr2F8
_cell_length_a 4.2108
_cell_length_b 6.3406
_cell_length_c 6.5646
_cell_angle_alpha 111.74
_cell_angle_beta 106.66
_cell_angle_gamma 90.81
_symmetry_space_group_name_H-M 'P -1'
_symmetry_Int_Tables_number 2
loop_
_symmetry_equiv_pos_as_xyz
'x,y,z'
'-x,-y,-z'
loop_
_atom_site_label
_atom_site_type_symbol
_atom_site_fract_x
_atom_site_fract_y
_atom_site_fract_z
Pm1 Pm 0.0000 0.0000 0.0000
Cr1 Cr 0.2254 0.6544 0.4373
F1 F 0.0927 0.3920 0.1434
F2 F 0.1616 0.8889 0.3113
F3 F 0.2717 0.3902 0.5541
F4 F 0.3845 0.8748 0.7764
```

Principal peaks in the range 15° ≤ 2θ ≤ 90°, low angle first:
2θ (°), d/Å, I_rel, h k l
16.84, 5.266, 100, 0 1 -1
22.24, 3.997, 49, 1 0 0
22.72, 3.914, 53, 1 0 -1
25.56, 3.485, 53, 0 1 1
28.37, 3.146, 33, 0 2 -1
28.73, 3.108, 31, 1 1 0
42.99, 2.104, 41, 2 0 -1
44.85, 2.021, 31, 0 3 -2

***

Theoretical powder X-ray diffraction pattern of Rb2PuCrF6 for Cu Kα (weighted mean of Kα1 and Kα2), from a crystal structure in Alexandria, relaxed with PBE+U.
Lines closer than 0.1° are merged.

```
data_Rb2PuCrF6
_cell_length_a 6.5767
_cell_length_b 8.8548
_cell_length_c 6.7390
_cell_angle_alpha 90.00
_cell_angle_beta 90.00
_cell_angle_gamma 90.00
_symmetry_space_group_name_H-M 'P m m n'
_symmetry_Int_Tables_number 59
loop_
_symmetry_equiv_pos_as_xyz
'x,y,z'
'-x,-y,-z'
'-x+1/2,-y+1/2,z'
'x+1/2,y+1/2,-z'
'x+1/2,-y,-z'
'-x+1/2,y,z'
'-x,y+1/2,-z'
'x,-y+1/2,z'
loop_
_atom_site_label
_atom_site_type_symbol
_atom_site_fract_x
_atom_site_fract_y
_atom_site_fract_z
Rb1 Rb 0.2500 0.0112 0.2133
Pu1 Pu 0.2500 0.2500 0.7166
Cr1 Cr 0.2500 0.7500 0.7705
F1 F 0.0059 0.7500 0.0380
F2 F 0.0169 0.2500 0.4561
F3 F 0.2500 0.5144 0.7804
```

Principal peaks in the range 15° ≤ 2θ ≤ 90°, low angle first:
2θ (°), d/Å, I_rel, h k l
16.53, 5.363, 23, 0 1 1
16.79, 5.280, 34, 1 1 0
26.45, 3.370, 25, 0 0 2
27.12, 3.288, 28, 2 0 0
27.66, 3.225, 100, 1 2 1
38.24, 2.353, 35, 2 0 2
48.25, 1.886, 23, 3 2 1
57.12, 1.612, 20, 2 4 2